No. 1
The following is a computed XRD peak list of La3Tb5Tm2. It was derived from DFT lattice parameters and positions (PBE), using Cu Ka.
Neutral-atom scattering factors, no anomalous dispersion.

Crystal structure
```
La3Tb5Tm2
1.0
9.5253 0.0000 0.0000
-2.7439 9.1279 0.0000
-4.0428 -4.0716 7.6211
La Tb Tm
6 10 4
Direct
0.0796 0.3510 0.0294
0.2715 0.9489 0.4228
0.3250 0.8490 0.7744
0.6750 0.1510 0.2256
0.7285 0.0511 0.5772
0.9204 0.6490 0.9706
0.0263 0.4492 0.6739
0.1281 0.2512 0.3797
0.2251 0.0537 0.0756
0.3784 0.7488 0.1247
0.4737 0.5481 0.8242
0.5263 0.4519 0.1758
0.6216 0.2512 0.8753
0.7749 0.9463 0.9244
0.8719 0.7488 0.6203
0.9737 0.5508 0.3261
0.1758 0.1510 0.7254
0.4277 0.6459 0.4758
0.5723 0.3541 0.5242
0.8242 0.8490 0.2746
```

Peak list (8 most intense, 2θ = 10–80°, most intense first)
two_theta, I_rel
30.4, 100
35.3, 34
50.7, 18
35.1, 17
60.2, 14
60.3, 14
50.5, 12
60.0, 11

***

No. 2
The following is a computed XRD peak list of LiCeGe2Pd. It was derived from DFT lattice parameters and positions (PBE), using Cu Ka.
Neutral-atom scattering factors, no anomalous dispersion.

Crystal structure
```
LiCeGe2Pd
1.0
-2.0748 2.0748 5.4143
2.0748 -2.0748 5.4143
2.0748 2.0748 -5.4143
Li Ce Ge Pd
1 1 2 1
Direct
0.0000 0.0000 0.0000
0.7500 0.2500 0.5000
0.1361 0.6361 0.5000
0.3639 0.8639 0.5000
0.5000 0.5000 0.0000
```

Peak list (8 most intense, 2θ = 10–80°, most intense first)
two_theta, I_rel
34.8, 100
32.9, 93
43.6, 57
47.3, 48
23.0, 44
55.7, 41
66.3, 35
30.5, 30

***

No. 3
The following is a computed XRD peak list of LaTmZnPd. It was derived from DFT lattice parameters and positions (PBE), using Cu Ka.
Neutral-atom scattering factors, no anomalous dispersion.

Crystal structure
```
LaTmZnPd
1.0
0.0000 3.6140 3.6140
3.6140 0.0000 3.6140
3.6140 3.6140 0.0000
La Tm Zn Pd
1 1 1 1
Direct
0.0000 0.0000 0.0000
0.5000 0.5000 0.5000
0.2500 0.2500 0.2500
0.7500 0.7500 0.7500
```

Peak list (8 most intense, 2θ = 10–80°, most intense first)
two_theta, I_rel
35.1, 100
63.0, 36
50.5, 18
74.2, 11
24.6, 8
57.0, 3
43.4, 2
21.3, 2

***

No. 4
The following is a computed XRD peak list of TbAg3F6. It was derived from DFT lattice parameters and positions (PBE), using Cu Ka.
Neutral-atom scattering factors, no anomalous dispersion.

Crystal structure
```
TbAg3F6
1.0
3.7979 -5.8343 0.0000
3.7979 5.8343 0.0000
0.0000 0.0000 3.8882
Tb Ag F
1 3 6
Direct
0.0000 0.0000 0.0000
0.0000 0.5000 0.5000
0.5000 0.0000 0.5000
0.5000 0.5000 0.0000
0.1087 0.8913 0.5000
0.1315 0.3633 0.0000
0.3633 0.1315 0.0000
0.6367 0.8685 0.0000
0.8685 0.6367 0.0000
0.8913 0.1087 0.5000
```

Peak list (8 most intense, 2θ = 10–80°, most intense first)
two_theta, I_rel
27.6, 100
28.0, 95
45.6, 73
33.0, 36
55.4, 27
56.2, 26
30.6, 22
46.7, 17